(1)
# Pb5SO8
Simulated powder XRD pattern, λ = 1.5418 Å (Cu Kα). Input: the PBE geometry in Alexandria.
No peak broadening, texture or thermal motion is included.

Largest 12 diffraction maxima, by intensity, 10 to 80 degrees two-theta:
2theta	intensity	index
26.8	100	0 3 2
32.7	56	2 3 0
28.3	46	2 0 2
28.0	45	2 0 -2
45.2	36	2 3 4
30.1	34	0 0 4
44.8	23	2 3 -4
10.5	17	0 1 1
56.2	13	4 3 -2
51.5	13	0 3 6
54.2	12	2 6 2
56.6	12	4 3 2

Structural model:
```
data_Pb5SO8
_cell_length_a 7.4934
_cell_length_b 12.0288
_cell_length_c 11.8752
_cell_angle_alpha 90.00
_cell_angle_beta 90.69
_cell_angle_gamma 90.00
_space_group_name_H-M_alt 'P 1 21/c 1'
_space_group_IT_number 14
_space_group_name_Hall '-P 2ybc'
loop_
_atom_site_label
_atom_site_type_symbol
_atom_site_fract_x
_atom_site_fract_y
_atom_site_fract_z
Pb1 Pb 0.1151 0.2423 0.3939
Pb2 Pb 0.1221 0.5880 0.8908
Pb3 Pb 0.1345 0.5795 0.3651
Pb4 Pb 0.3595 0.7396 0.6057
Pb5 Pb 0.3756 0.0573 0.6167
S1 S 0.3557 0.1132 0.1523
O1 O 0.1206 0.7255 0.4816
O2 O 0.1311 0.6776 0.2046
O3 O 0.1345 0.0823 0.4940
O4 O 0.2301 0.0251 0.1115
O5 O 0.2786 0.2247 0.1236
O6 O 0.3781 0.1039 0.2780
O7 O 0.3905 0.6015 0.9984
O8 O 0.4664 0.6013 0.4022
```

=====

(2)
# PbSO6
Simulated powder XRD pattern, λ = 1.5418 Å (Cu Kα). Input: the PBE geometry in Alexandria.
No peak broadening, texture or thermal motion is included.

Largest 12 diffraction maxima, by intensity, 10 to 80 degrees two-theta:
2theta	intensity	index
25.3	100	0 2 0
29.7	62	1 1 1
19.4	55	1 1 0
47.4	50	1 3 1
41.3	48	2 2 -1
47.1	21	3 1 0
39.4	20	2 2 0
32.1	18	0 2 1
67.7	17	4 2 0
44.6	14	2 0 -2
39.0	12	2 0 1
51.9	8	2 2 -2

Structural model:
```
data_PbSO6
_cell_length_a 6.1548
_cell_length_b 7.0323
_cell_length_c 4.6798
_cell_angle_alpha 90.00
_cell_angle_beta 101.88
_cell_angle_gamma 90.00
_space_group_name_H-M_alt 'C 1 2/m 1'
_space_group_IT_number 12
_space_group_name_Hall '-C 2y'
loop_
_atom_site_label
_atom_site_type_symbol
_atom_site_fract_x
_atom_site_fract_y
_atom_site_fract_z
Pb1 Pb 0.0000 0.0000 0.0000
S1 S 0.0000 0.5000 0.5000
O1 O 0.0884 0.3395 0.7485
O2 O 0.2482 0.5000 0.4275
```

=====

(3)
# Tb3PbSO
Simulated powder XRD pattern, λ = 1.5418 Å (Cu Kα). Input: the PBE geometry in Alexandria.
No peak broadening, texture or thermal motion is included.

Largest 12 diffraction maxima, by intensity, 10 to 80 degrees two-theta:
2theta	intensity	index
31.0	100	2 1 -1
30.6	36	1 1 -2
40.3	33	2 1 2
30.7	32	0 0 3
16.3	21	1 0 1
31.8	21	3 0 0
46.0	21	0 2 0
10.5	20	1 0 0
27.9	18	1 1 1
57.9	17	5 1 -1
47.9	14	2 1 -4
34.0	14	1 1 2

Structural model:
```
data_Tb3PbSO
_cell_length_a 8.7164
_cell_length_b 3.9453
_cell_length_c 8.9980
_cell_angle_alpha 90.00
_cell_angle_beta 104.18
_cell_angle_gamma 90.00
_space_group_name_H-M_alt 'P 1 21/m 1'
_space_group_IT_number 11
_space_group_name_Hall '-P 2yb'
loop_
_atom_site_label
_atom_site_type_symbol
_atom_site_fract_x
_atom_site_fract_y
_atom_site_fract_z
Tb1 Tb 0.0638 0.2500 0.3459
Tb2 Tb 0.3315 0.2500 0.9764
Tb3 Tb 0.3874 0.7500 0.6435
Pb1 Pb 0.3106 0.7500 0.2687
S1 S 0.1612 0.2500 0.6600
O1 O 0.4117 0.7500 0.9016
```

=====

(4)
# Sb2Pb2O7
Simulated powder XRD pattern, λ = 1.5418 Å (Cu Kα). Input: the PBE geometry in Alexandria.
No peak broadening, texture or thermal motion is included.

Largest 12 diffraction maxima, by intensity, 10 to 80 degrees two-theta:
2theta	intensity	index
28.5	100	2 2 2
56.2	46	6 2 2
47.4	44	4 4 0
33.0	38	4 0 0
76.5	19	6 6 2
78.9	17	8 4 0
58.9	12	4 4 4
69.2	7	8 0 0
36.1	6	3 3 1
14.1	5	1 1 1
27.2	3	3 1 1
43.3	3	5 1 1

Structural model:
Lattice parameters (Å, degrees): 10.8561 10.8561 10.8561 90.00 90.00 90.00
Space group Fd-3m (No. 227, origin choice 2)
Symmetry-distinct sites (fractional):
Sb (0.0000, 0.0000, 0.0000) [16 per cell]
Pb (0.0000, 0.0000, 0.5000) [16 per cell]
O (0.0670, 0.3750, 0.3750) [48 per cell]
O (0.1250, 0.1250, 0.6250) [8 per cell]

=====

(5)
# SbPbO4
Simulated powder XRD pattern, λ = 1.5418 Å (Cu Kα). Input: the PBE geometry in Alexandria.
No peak broadening, texture or thermal motion is included.

Largest 12 diffraction maxima, by intensity, 10 to 80 degrees two-theta:
2theta	intensity	index
25.4	100	1 1 -1
31.3	72	2 0 0
48.6	37	0 2 2
32.4	23	0 0 2
47.9	18	2 2 0
50.1	17	1 1 -3
52.2	16	2 2 -2
35.3	16	0 2 0
37.1	13	2 0 -2
61.0	11	1 3 1
59.1	10	3 1 1
57.7	9	1 3 -1

Structural model:
```
data_SbPbO4
_cell_length_a 6.0484
_cell_length_b 5.0795
_cell_length_c 5.8534
_cell_angle_alpha 90.00
_cell_angle_beta 109.09
_cell_angle_gamma 90.00
_space_group_name_H-M_alt 'P 1 21/c 1'
_space_group_IT_number 14
_space_group_name_Hall '-P 2ybc'
loop_
_atom_site_label
_atom_site_type_symbol
_atom_site_fract_x
_atom_site_fract_y
_atom_site_fract_z
Sb1 Sb 0.0000 0.0000 0.0000
Pb1 Pb 0.5000 0.0000 0.5000
O1 O 0.1229 0.2159 0.3161
O2 O 0.3228 0.6484 0.6146
```

=====

(6)
# Sb6Pb4O19
Simulated powder XRD pattern, λ = 1.5418 Å (Cu Kα). Input: the PBE geometry in Alexandria.
No peak broadening, texture or thermal motion is included.

Largest 12 diffraction maxima, by intensity, 10 to 80 degrees two-theta:
2theta	intensity	index
29.6	100	3 1 0
22.8	85	2 1 1
35.2	50	3 2 1
48.6	47	4 1 3
52.5	31	5 2 1
40.1	30	3 3 0
32.5	28	2 2 2
58.0	26	6 0 0
46.6	16	4 2 2
66.4	16	6 3 1
59.7	14	5 3 2
75.9	13	7 0 3

Structural model:
```
data_Sb6Pb4O19
_cell_length_a 9.5440
_cell_length_b 9.5440
_cell_length_c 9.5440
_cell_angle_alpha 90.00
_cell_angle_beta 90.00
_cell_angle_gamma 90.00
_space_group_name_H-M_alt 'I 2 3'
_space_group_IT_number 197
_space_group_name_Hall 'I 2 2 3'
loop_
_atom_site_label
_atom_site_type_symbol
_atom_site_fract_x
_atom_site_fract_y
_atom_site_fract_z
Sb1 Sb 0.0000 0.3380 0.5000
Pb1 Pb 0.1461 0.1461 0.8539
O1 O 0.0000 0.0000 0.0000
O2 O 0.0000 0.0000 0.3607
O3 O 0.0084 0.3350 0.2883
```

=====

(7)
# ScSbPb2O6
Simulated powder XRD pattern, λ = 1.5418 Å (Cu Kα). Input: the PBE geometry in Alexandria.
No peak broadening, texture or thermal motion is included.

Largest 12 diffraction maxima, by intensity, 10 to 80 degrees two-theta:
2theta	intensity	index
30.7	100	1 2 1
54.8	31	3 2 1
43.8	26	2 0 2
30.9	25	2 0 0
30.3	25	0 0 2
21.5	22	1 0 1
54.1	19	1 2 3
64.0	16	2 4 2
44.2	14	0 4 0
37.6	12	0 2 2
38.0	12	2 2 0
54.5	9	0 4 2

Structural model:
```
data_ScSbPb2O6
_cell_length_a 5.7908
_cell_length_b 8.2022
_cell_length_c 5.8983
_cell_angle_alpha 90.00
_cell_angle_beta 90.00
_cell_angle_gamma 90.00
_space_group_name_H-M_alt 'I m m 2'
_space_group_IT_number 44
_space_group_name_Hall 'I 2 -2'
loop_
_atom_site_label
_atom_site_type_symbol
_atom_site_fract_x
_atom_site_fract_y
_atom_site_fract_z
Sc1 Sc 0.0000 0.0000 0.0000
Sb1 Sb 0.0000 0.5000 0.9819
Pb1 Pb 0.0000 0.2413 0.5393
O1 O 0.0000 0.2554 0.9586
O2 O 0.2358 0.5000 0.7270
O3 O 0.2424 0.0000 0.7055
```